Starting from DFT lattice parameters and positions (PBE), the powder XRD pattern of Gd3AsO7 was computed for a wavelength of 1.5418 Å.

Top 6 peaks for 2θ from 10° to 80°, in order of rising 2θ:
d = 3.071 Å, 29.08°, I 100.0, hkl 0 2 0
d = 3.052 Å, 29.26°, I 95.4, hkl 1 0 2
d = 3.042 Å, 29.36°, I 91.9, hkl -1 1 2
d = 2.992 Å, 29.87°, I 88.5, hkl 2 1 0
d = 2.628 Å, 34.12°, I 83.1, hkl 1 2 2
d = 1.842 Å, 49.49°, I 52.2, hkl 3 1 2

Crystal structure
Cell lengths 6.3490, 6.4875, 7.4815 Å; angles 73.57, 89.97, 81.17 degrees
Fractional positions:
Gd: 0.0407 0.4942 0.2468
Gd: 0.2420 0.0259 0.6231
Gd: 0.2551 0.9737 0.1298
Gd: 0.7449 0.0263 0.8702
Gd: 0.7580 0.9741 0.3769
Gd: 0.9593 0.5058 0.7532
As: 0.5000 0.5000 0.0000
As: 0.5000 0.5000 0.5000
O: 0.0672 0.1421 0.8502
O: 0.0714 0.1328 0.3349
O: 0.2201 0.5013 0.9651
O: 0.2217 0.4524 0.5402
O: 0.4131 0.5655 0.2336
O: 0.4300 0.8004 0.4584
O: 0.4615 0.8146 0.8953
O: 0.5385 0.1854 0.1047
O: 0.5700 0.1996 0.5416
O: 0.5869 0.4345 0.7664
O: 0.7783 0.5476 0.4598
O: 0.7799 0.4987 0.0349
O: 0.9286 0.8672 0.6651
O: 0.9328 0.8579 0.1498